Starting from a DFT-relaxed cell (GGA-PBE, Alexandria), the XRD peak list of SrLi7In5 was simulated for CuKα.
Intensities are scaled so that the largest is 100.

Main lines, sorted by position (2θ from 10° to 90°):
| (hkl) | d/Å | Position (°2θ) | I (rel.) |
| --- | --- | --- | --- |
| 0 1 1 | 6.948 | 12.74 | 33 |
| 0 2 0 | 4.928 | 18.00 | 25 |
| 0 0 2 | 4.898 | 18.11 | 79 |
| 1 1 2 | 3.555 | 25.05 | 35 |
| 0 2 2 | 3.474 | 25.64 | 65 |
| 2 2 0 | 2.579 | 34.79 | 100 |
| 1 2 3 | 2.485 | 36.15 | 24 |
| 0 4 0 | 2.464 | 36.47 | 29 |
| 2 2 2 | 2.283 | 39.48 | 49 |
| 2 2 4 | 1.776 | 51.45 | 30 |

Structural model:
```
data_SrLi7In5
_cell_length_a 6.056
_cell_length_b 9.855
_cell_length_c 9.797
_cell_angle_alpha 90.00
_cell_angle_beta 90.00
_cell_angle_gamma 90.00
_symmetry_space_group_name_H-M 'I m m 2'
_symmetry_Int_Tables_number 44
loop_
_symmetry_equiv_pos_as_xyz
'x,y,z'
'-x,-y,z'
'-x,y,z'
'x,-y,z'
'x+1/2,y+1/2,z+1/2'
'-x+1/2,-y+1/2,z+1/2'
'-x+1/2,y+1/2,z+1/2'
'x+1/2,-y+1/2,z+1/2'
loop_
_atom_site_label
_atom_site_fract_x
_atom_site_fract_y
_atom_site_fract_z
_atom_site_occupancy
Sr1 0.000 0.000 0.000 1
Li1 0.000 0.000 0.347 1
Li2 0.000 0.000 0.654 1
Li3 0.000 0.279 0.503 1
Li4 0.000 0.350 0.994 1
Li5 0.000 0.500 0.293 1
In1 0.000 0.500 0.697 1
In2 0.245 0.259 0.252 1
```